Starting from a crystal structure in the Materials Project, relaxed with PBE, the powder X-ray diffraction pattern of LiZnBO3 was calculated for copper Kα.
Peak positions follow from Bragg's law for the DFT cell and can differ from measured ones.

Structural model:
a = 5.0633 Å, b = 5.0652 Å, c = 11.5033 Å
α = 89.98°, β = 89.43°, γ = 60.02°
Space group P1 (No. 1)
One atom of each set of equivalent atoms:
Li 0.0000 0.0000 0.0000 [1 per cell]
Li 0.0058 0.0208 0.8154 [1 per cell]
Li 0.6839 0.2923 0.2185 [1 per cell]
Li 0.6987 0.3010 0.5967 [1 per cell]
Zn 0.0509 0.6365 0.6232 [1 per cell]
Zn 0.3506 0.3291 0.9069 [1 per cell]
Zn 0.3534 0.9827 0.1927 [1 per cell]
Zn 0.6754 0.6709 0.4095 [1 per cell]
B 0.0268 0.6323 0.1619 [1 per cell]
B 0.3471 0.3215 0.4066 [1 per cell]
B 0.3702 0.9846 0.6530 [1 per cell]
B 0.6830 0.6629 0.9071 [1 per cell]
O 0.0122 0.9151 0.1578 [1 per cell]
O 0.0840 0.5731 0.4489 [1 per cell]
O 0.0885 0.9967 0.6576 [1 per cell]
O 0.3018 0.3706 0.1334 [1 per cell]
O 0.3385 0.0652 0.3672 [1 per cell]
O 0.3860 0.2445 0.6815 [1 per cell]
O 0.3918 0.9209 0.9153 [1 per cell]
O 0.6207 0.3195 0.4053 [1 per cell]
O 0.6286 0.7131 0.6218 [1 per cell]
O 0.7161 0.3717 0.9078 [1 per cell]
O 0.7669 0.6185 0.1909 [1 per cell]
O 0.9417 0.6962 0.8980 [1 per cell]

Principal peaks in the range 2θ from 15° to 90°, low angle first:
- 2θ 20.25, rel. 59, hkl 1 1 0
- 2θ 21.64, rel. 19, hkl 1 1 1
- 2θ 21.74, rel. 100, hkl 0 1 1
- 2θ 25.45, rel. 43, hkl 0 1 -2
- 2θ 25.67, rel. 40, hkl 1 0 -2
- 2θ 31.10, rel. 100, hkl 0 0 4
- 2θ 35.45, rel. 67, hkl 1 2 0
- 2θ 41.87, rel. 43, hkl 2 0 1
- 2θ 55.98, rel. 35, hkl 1 3 -1
- 2θ 63.65, rel. 29, hkl 3 3 0